Structure and calculated powder XRD pattern of SmAl4Ag2 (a cell relaxed with GGA-PBE; copper Kα).

Structural model:
```
data_SmAl4Ag2
_chemical_formula_sum 'Sm2 Al8 Ag4'
_cell_length_a 4.1666
_cell_length_b 15.8844
_cell_length_c 4.1515
_cell_angle_alpha 90.00
_cell_angle_beta 90.00
_cell_angle_gamma 90.00
_symmetry_space_group_name_H-M 'C m m m'
_symmetry_Int_Tables_number 65
_symmetry_space_group_name_Hall '-C 2 2'
loop_
_atom_site_label
_atom_site_type_symbol
_atom_site_fract_x
_atom_site_fract_y
_atom_site_fract_z
_atom_site_occupancy
Sm1 Sm 0.0000 0.0000 0.0000 1
Al1 Al 0.0000 0.1871 0.5000 1
Al2 Al 0.0000 0.3100 0.0000 1
Ag1 Ag 0.0000 0.4147 0.5000 1
```

Largest 6 diffraction maxima, most intense first, 10 to 90 degrees two-theta:
d/Å  I (rel.)  (hkl)
2.892  1000  1 1 1
7.942  869  0 2 0
2.526  460  1 5 0
2.571  456  1 3 1
2.870  408  0 4 1
2.232  358  0 6 1